The following is a simulated powder X-ray diffraction pattern of Li2Ag2F7. It was derived from the PBE geometry in Alexandria, using Cu Kα X-rays.
Intensities are scaled so that the largest is 100.

```
Li2Ag2F7
1.0
4.642 -3.589 0.000
4.642 3.589 0.000
-2.604 0.000 5.049
Li Ag F
2 2 7
direct
0.199 0.801 0.000
0.801 0.199 0.000
0.219 0.219 0.643
0.752 0.752 0.404
0.024 0.024 0.267
0.038 0.038 0.803
0.432 0.432 0.990
0.517 0.925 0.151
0.568 0.966 0.664
0.925 0.517 0.151
0.966 0.568 0.664
```

Largest 10 diffraction maxima, low angle first, 2θ = 10–80°:
2θ/deg	d [Å]	I (rel.)
17.57	5.049	31.1
20.12	4.414	100.0
20.63	4.305	41.0
21.54	4.126	69.7
24.81	3.589	38.8
30.56	2.925	23.4
31.61	2.831	34.5
37.79	2.380	32.8
43.89	2.063	40.2
52.72	1.736	21.5

---

The following is a simulated powder X-ray diffraction pattern of Ac2Mg3Zn9. It was derived from the PBE geometry in Alexandria, using Cu Kα X-rays.
Intensities are scaled so that the largest is 100.

```
Ac2Mg3Zn9
1.0
7.193 -4.219 0.000
7.193 4.219 0.000
0.000 0.000 9.469
Ac Mg Zn
4 6 18
direct
0.010 0.673 0.750
0.327 0.990 0.750
0.673 0.010 0.250
0.990 0.327 0.250
0.000 0.000 0.000
0.000 0.000 0.500
0.313 0.313 0.000
0.313 0.313 0.500
0.687 0.687 0.000
0.687 0.687 0.500
0.035 0.659 0.099
0.035 0.659 0.401
0.158 0.842 0.250
0.341 0.659 0.523
0.341 0.659 0.977
0.341 0.965 0.099
0.341 0.965 0.401
0.358 0.462 0.250
0.462 0.358 0.750
0.538 0.642 0.250
0.642 0.538 0.750
0.659 0.035 0.599
0.659 0.035 0.901
0.659 0.341 0.023
0.659 0.341 0.477
0.842 0.158 0.750
0.965 0.341 0.599
0.965 0.341 0.901
```

Largest 10 diffraction maxima, low angle first, 2θ = 10–80°:
2θ/deg	d [Å]	I (rel.)
18.74	4.735	27.0
21.31	4.169	23.9
23.31	3.816	38.4
31.23	2.864	21.8
35.52	2.527	39.4
35.68	2.517	100.0
37.06	2.426	60.1
37.51	2.398	26.6
37.72	2.385	41.6
43.78	2.068	22.5